Sm4MgV4O12: computed powder diffraction line list (CuKα), based on a PBE+U-relaxed structure.
Kinematic intensities with the Lorentz-polarization factor, no thermal factor.

Principal peaks in the range 2θ = 10–90°, by angle:
- (0 0 2), 2θ = 22.22°, rel. 37
- (1 -1 0), 2θ = 22.46°, rel. 21
- (1 1 1), 2θ = 23.59°, rel. 26
- (-1 1 1), 2θ = 25.11°, rel. 45
- (1 1 2), 2θ = 30.31°, rel. 32
- (1 1 -2), 2θ = 31.45°, rel. 100
- (1 -1 2), 2θ = 31.79°, rel. 88
- (0 2 -1), 2θ = 31.95°, rel. 20
- (2 0 0), 2θ = 32.48°, rel. 42
- (-1 1 3), 2θ = 40.85°, rel. 22
- (0 0 4), 2θ = 45.34°, rel. 22
- (2 0 -4), 2θ = 57.64°, rel. 22

Atomic structure:
```
data_Sm4MgV4O12
_cell_length_a 5.5253
_cell_length_b 6.0469
_cell_length_c 8.0059
_cell_angle_alpha 88.52
_cell_angle_beta 88.44
_cell_angle_gamma 86.65
_symmetry_space_group_name_H-M 'P 1'
_symmetry_Int_Tables_number 1
_symmetry_space_group_name_Hall 'P 1'
loop_
_atom_site_label
_atom_site_type_symbol
_atom_site_fract_x
_atom_site_fract_y
_atom_site_fract_z
_atom_site_occupancy
Sm1 Sm 0.0000 0.0000 0.0000 1
Sm2 Sm 0.0599 0.2082 0.5568 1
Sm3 Sm 0.5253 0.7032 0.5603 1
Sm4 Sm 0.6188 0.5458 0.0327 1
Mg1 Mg 0.1795 0.3614 0.1509 1
V1 V 0.0568 0.6158 0.7865 1
V2 V 0.0611 0.6969 0.3289 1
V3 V 0.5389 0.1294 0.7865 1
V4 V 0.5626 0.1096 0.2951 1
O1 O 0.1930 0.6532 0.0490 1
O2 O 0.2371 0.9351 0.7398 1
O3 O 0.2512 0.9393 0.3735 1
O4 O 0.3268 0.4430 0.3580 1
O5 O 0.3716 0.4202 0.7290 1
O6 O 0.4145 0.1695 0.0355 1
O7 O 0.6720 0.0769 0.5509 1
O8 O 0.7248 0.8196 0.8450 1
O9 O 0.7584 0.8036 0.2209 1
O10 O 0.8587 0.3099 0.8394 1
O11 O 0.8601 0.2870 0.2053 1
O12 O 0.9222 0.5902 0.5435 1
```